The following is a simulated powder XRD pattern of Mn8Fe3N8. It was derived from a crystal structure in the Materials Project, relaxed with PBE, using Cu Ka.

Principal peaks in the range 10 to 80 degrees two-theta, by intensity:
2θ/deg, d (Å), Rel. int.
38.8, 2.319, 100
44.8, 2.024, 31
45.0, 2.016, 31
45.7, 1.985, 29
66.0, 1.415, 25
65.3, 1.428, 17
78.8, 1.214, 11
65.8, 1.420, 8

Structure:
Cell: 7.466 7.466 6.394 Å, 105.36 105.36 31.33°
Fractional coordinates of all 19 atoms:
Mn (0.044, 0.044, 0.222)
Mn (0.141, 0.141, 0.691)
Mn (0.319, 0.319, 0.582)
Mn (0.402, 0.402, 0.035)
Mn (0.598, 0.598, 0.965)
Mn (0.681, 0.681, 0.418)
Mn (0.859, 0.859, 0.309)
Mn (0.956, 0.956, 0.778)
Fe (0.227, 0.227, 0.145)
Fe (0.500, 0.500, 0.500)
Fe (0.773, 0.773, 0.855)
N (0.095, 0.095, 0.958)
N (0.180, 0.180, 0.415)
N (0.363, 0.363, 0.313)
N (0.456, 0.456, 0.770)
N (0.544, 0.544, 0.230)
N (0.637, 0.637, 0.687)
N (0.820, 0.820, 0.585)
N (0.905, 0.905, 0.042)